This entry pairs a crystal structure of CrNi2BO5 with its theoretical powder X-ray diffraction pattern. Radiation: Cu Kα. Structure: DFT lattice parameters and positions (PBE+U).
Intensities are scaled so that the largest is 1000.

Cell and atoms:
```
CrNi2BO5
1.0
9.318 0.000 0.000
0.000 12.246 0.000
0.000 0.000 3.017
Cr Ni B O
4 8 4 20
Direct
0.242 0.113 0.000
0.258 0.613 0.000
0.742 0.387 0.000
0.758 0.887 0.000
0.000 0.000 0.500
0.000 0.500 0.000
0.001 0.281 0.500
0.499 0.781 0.500
0.500 0.000 0.000
0.500 0.500 0.500
0.501 0.219 0.500
0.999 0.719 0.500
0.229 0.861 0.000
0.271 0.361 0.000
0.729 0.639 0.000
0.771 0.139 0.000
0.109 0.142 0.500
0.117 0.579 0.500
0.123 0.359 0.000
0.152 0.959 0.000
0.154 0.762 0.000
0.346 0.262 0.000
0.348 0.459 0.000
0.377 0.859 0.000
0.383 0.079 0.500
0.391 0.642 0.500
0.609 0.358 0.500
0.617 0.921 0.500
0.623 0.141 0.000
0.652 0.541 0.000
0.654 0.738 0.000
0.846 0.238 0.000
0.848 0.041 0.000
0.877 0.641 0.000
0.883 0.421 0.500
0.891 0.858 0.500
```

Principal peaks in the range 2θ = 5–70°, in order of rising 2θ:
two_theta  intensity  (hkl)
17.3  453  1 2 0
19.0  334  2 0 0
35.1  1000  2 4 0
35.4  791  2 0 1
38.3  366  1 3 1
42.4  250  3 1 1
44.4  274  3 2 1
47.6  450  3 3 1
61.5  249  0 0 2
62.1  365  1 7 1